[1]
Structure and calculated PXRD pattern of AcRe3O12 (a crystal structure in Alexandria, relaxed with GGA-PBE; Cu Kα).
Intensities are scaled so that the largest is 100.

Largest 10 diffraction maxima, most intense first, 2θ = 10–90°:
2θ = 21.5°, d 4.142, I = 100
2θ = 33.9°, d 2.643, I = 55
2θ = 12.7°, d 6.965, I = 51
2θ = 26.8°, d 3.328, I = 47
2θ = 18.3°, d 4.843, I = 25
2θ = 51.2°, d 1.785, I = 21
2θ = 60.7°, d 1.527, I = 16
2θ = 40.5°, d 2.230, I = 14
2θ = 16.5°, d 5.359, I = 13
2θ = 43.7°, d 2.071, I = 13

Crystal structure
Lattice parameters (Å, degrees): 11.0368 11.0368 11.0368 49.06 49.06 49.06
Atoms (fractional coordinates):
Ac1 0.0000 0.0000 0.0000
Ac2 0.5000 0.5000 0.5000
Re1 0.1244 0.7780 0.4123
Re2 0.2780 0.6244 0.9123
Re3 0.4123 0.1244 0.7780
Re4 0.6244 0.9123 0.2780
Re5 0.7780 0.4123 0.1244
Re6 0.9123 0.2780 0.6244
O1 0.0369 0.0510 0.6990
O2 0.0380 0.3865 0.4208
O3 0.0510 0.6990 0.0369
O4 0.1220 0.8326 0.2225
O5 0.1990 0.5510 0.5369
O6 0.2225 0.1220 0.8326
O7 0.2810 0.8286 0.3568
O8 0.3286 0.7810 0.8568
O9 0.3326 0.6220 0.7225
O10 0.3568 0.2810 0.8286
O11 0.3865 0.4208 0.0380
O12 0.4208 0.0380 0.3865
O13 0.5369 0.1990 0.5510
O14 0.5380 0.9208 0.8865
O15 0.5510 0.5369 0.1990
O16 0.6220 0.7225 0.3326
O17 0.6990 0.0369 0.0510
O18 0.7225 0.3326 0.6220
O19 0.7810 0.8568 0.3286
O20 0.8286 0.3568 0.2810
O21 0.8326 0.2225 0.1220
O22 0.8568 0.3286 0.7810
O23 0.8865 0.5380 0.9208
O24 0.9208 0.8865 0.5380


[2]
Structure and calculated PXRD pattern of AcTlRe2O8 (a crystal structure in Alexandria, relaxed with GGA-PBE; Cu Kα).
Intensities are scaled so that the largest is 100.

Largest 10 diffraction maxima, most intense first, 2θ = 10–90°:
2θ = 27.8°, d 3.214, I = 100
2θ = 28.5°, d 3.136, I = 89
2θ = 19.8°, d 4.489, I = 88
2θ = 40.2°, d 2.245, I = 46
2θ = 50.0°, d 1.825, I = 40
2θ = 16.3°, d 5.432, I = 27
2θ = 54.5°, d 1.682, I = 25
2θ = 50.4°, d 1.811, I = 19
2θ = 45.6°, d 1.988, I = 19
2θ = 66.3°, d 1.409, I = 18

Crystal structure
Lattice parameters (Å, degrees): 6.2721 6.2721 7.9739 90.00 90.00 120.00
Atoms (fractional coordinates):
Ac1 0.0000 0.0000 0.0000
Tl1 0.0000 0.0000 0.5000
Re1 0.3333 0.6667 0.2768
Re2 0.6667 0.3333 0.7232
O1 0.1756 0.3531 0.1981
O2 0.1776 0.8244 0.1981
O3 0.3333 0.6667 0.4977
O4 0.3531 0.1776 0.8019
O5 0.6469 0.8224 0.1981
O6 0.6667 0.3333 0.5023
O7 0.8224 0.1756 0.8019
O8 0.8244 0.6469 0.8019


[3]
Structure and calculated PXRD pattern of Ac2TmReO8 (a crystal structure in Alexandria, relaxed with GGA-PBE; Cu Kα).
Intensities are scaled so that the largest is 100.

Largest 10 diffraction maxima, most intense first, 2θ = 10–90°:
2θ = 25.7°, d 3.462, I = 100
2θ = 19.0°, d 4.681, I = 73
2θ = 30.9°, d 2.893, I = 63
2θ = 20.1°, d 4.425, I = 58
2θ = 30.0°, d 2.980, I = 56
2θ = 30.5°, d 2.933, I = 37
2θ = 46.9°, d 1.937, I = 35
2θ = 49.4°, d 1.846, I = 34
2θ = 18.8°, d 4.708, I = 34
2θ = 40.8°, d 2.212, I = 32

Crystal structure
Lattice parameters (Å, degrees): 5.7772 6.2661 6.4907 75.14 76.43 70.36
Atoms (fractional coordinates):
Ac1 0.0904 0.1441 0.2085
Ac2 0.9096 0.8559 0.7915
Tm1 0.5000 0.5000 0.5000
Re1 0.5000 0.5000 0.0000
O1 0.2248 0.8280 0.4828
O2 0.2744 0.8042 0.9897
O3 0.2916 0.4276 0.8526
O4 0.3212 0.4003 0.2733
O5 0.6788 0.5997 0.7267
O6 0.7084 0.5724 0.1474
O7 0.7256 0.1958 0.0103
O8 0.7752 0.1720 0.5172


[4]
Structure and calculated PXRD pattern of AcZnReO6 (a crystal structure in Alexandria, relaxed with GGA-PBE; Cu Kα).
Intensities are scaled so that the largest is 100.

Largest 10 diffraction maxima, most intense first, 2θ = 10–90°:
2θ = 25.6°, d 3.479, I = 100
2θ = 48.5°, d 1.877, I = 35
2θ = 33.5°, d 2.673, I = 35
2θ = 42.7°, d 2.120, I = 24
2θ = 55.3°, d 1.661, I = 24
2θ = 19.2°, d 4.630, I = 13
2θ = 56.0°, d 1.643, I = 11
2θ = 59.9°, d 1.543, I = 10
2θ = 76.3°, d 1.248, I = 10
2θ = 76.9°, d 1.240, I = 9

Crystal structure
Lattice parameters (Å, degrees): 5.3464 5.3464 5.2713 90.00 90.00 120.00
Atoms (fractional coordinates):
Ac1 0.0000 0.0000 0.0000
Zn1 0.6667 0.3333 0.5000
Re1 0.3333 0.6667 0.5000
O1 0.0291 0.3900 0.2924
O2 0.0291 0.6391 0.7076
O3 0.3609 0.3900 0.7076
O4 0.3609 0.9709 0.2924
O5 0.6100 0.6391 0.2924
O6 0.6100 0.9709 0.7076


[5]
Structure and calculated PXRD pattern of AcRh2O4 (a crystal structure in Alexandria, relaxed with GGA-PBE; Cu Kα).
Intensities are scaled so that the largest is 100.

Largest 10 diffraction maxima, most intense first, 2θ = 10–90°:
2θ = 25.5°, d 3.496, I = 100
2θ = 42.3°, d 2.138, I = 57
2θ = 22.5°, d 3.947, I = 52
2θ = 31.5°, d 2.844, I = 48
2θ = 36.9°, d 2.437, I = 43
2θ = 46.0°, d 1.973, I = 32
2θ = 54.0°, d 1.699, I = 25
2θ = 29.8°, d 2.994, I = 23
2θ = 49.4°, d 1.844, I = 21
2θ = 35.2°, d 2.547, I = 18

Crystal structure
Lattice parameters (Å, degrees): 8.3493 7.5721 5.8831 75.55 61.43 43.03
Atoms (fractional coordinates):
Ac1 0.0000 0.0000 0.0000
Ac2 0.2500 0.2500 0.2500
Rh1 0.1342 0.6158 0.6247
Rh2 0.6158 0.1342 0.6253
Rh3 0.6247 0.6253 0.1342
Rh4 0.6253 0.6247 0.6158
O1 0.2873 0.4905 0.8719
O2 0.3503 0.8719 0.4905
O3 0.4015 0.8704 0.9525
O4 0.4905 0.2873 0.3503
O5 0.7756 0.9525 0.8704
O6 0.8704 0.4015 0.7756
O7 0.8719 0.3503 0.2873
O8 0.9525 0.7756 0.4015


[6]
Structure and calculated PXRD pattern of AcRhO (a crystal structure in Alexandria, relaxed with GGA-PBE; Cu Kα).
Intensities are scaled so that the largest is 100.

Largest 10 diffraction maxima, most intense first, 2θ = 10–90°:
2θ = 25.5°, d 3.492, I = 100
2θ = 34.1°, d 2.633, I = 50
2θ = 44.7°, d 2.028, I = 46
2θ = 32.2°, d 2.779, I = 32
2θ = 40.4°, d 2.233, I = 31
2θ = 57.2°, d 1.611, I = 29
2θ = 16.7°, d 5.301, I = 23
2θ = 33.8°, d 2.651, I = 21
2θ = 25.2°, d 3.534, I = 20
2θ = 52.0°, d 1.759, I = 16

Crystal structure
Lattice parameters (Å, degrees): 10.8577 10.8577 10.8577 21.53 21.53 21.53
Atoms (fractional coordinates):
Ac1 0.0775 0.0775 0.0775
Ac2 0.9225 0.9225 0.9225
Rh1 0.1758 0.1758 0.1758
Rh2 0.8242 0.8242 0.8242
O1 0.2775 0.2775 0.2775
O2 0.7225 0.7225 0.7225


[7]
Structure and calculated PXRD pattern of AcSbRhO6 (a crystal structure in Alexandria, relaxed with GGA-PBE; Cu Kα).
Intensities are scaled so that the largest is 100.

Largest 10 diffraction maxima, most intense first, 2θ = 10–90°:
2θ = 25.4°, d 3.513, I = 100
2θ = 47.9°, d 1.899, I = 37
2θ = 33.6°, d 2.669, I = 34
2θ = 42.5°, d 2.125, I = 24
2θ = 55.2°, d 1.663, I = 23
2θ = 54.7°, d 1.679, I = 12
2θ = 60.0°, d 1.541, I = 11
2θ = 33.2°, d 2.702, I = 10
2θ = 76.3°, d 1.248, I = 9
2θ = 75.8°, d 1.254, I = 9

Crystal structure
Lattice parameters (Å, degrees): 5.3386 5.3386 10.8094 90.00 90.00 120.00
Atoms (fractional coordinates):
Ac1 0.0000 0.0000 0.0000
Ac2 0.0000 0.0000 0.5000
Sb1 0.3333 0.6667 0.2500
Sb2 0.6667 0.3333 0.7500
Rh1 0.3333 0.6667 0.7500
Rh2 0.6667 0.3333 0.2500
O1 0.0000 0.3706 0.1467
O2 0.0000 0.3706 0.6467
O3 0.0000 0.6294 0.3533
O4 0.0000 0.6294 0.8533
O5 0.3706 0.0000 0.1467
O6 0.3706 0.0000 0.6467
O7 0.3706 0.3706 0.3533
O8 0.3706 0.3706 0.8533
O9 0.6294 0.0000 0.3533
O10 0.6294 0.0000 0.8533
O11 0.6294 0.6294 0.1467
O12 0.6294 0.6294 0.6467


[8]
Structure and calculated PXRD pattern of SrAc2RhO5 (a crystal structure in Alexandria, relaxed with GGA-PBE; Cu Kα).
Intensities are scaled so that the largest is 100.

Largest 10 diffraction maxima, most intense first, 2θ = 10–90°:
2θ = 29.2°, d 3.056, I = 100
2θ = 31.9°, d 2.809, I = 90
2θ = 41.6°, d 2.170, I = 57
2θ = 28.0°, d 3.192, I = 42
2θ = 30.2°, d 2.960, I = 42
2θ = 15.0°, d 5.921, I = 41
2θ = 55.3°, d 1.661, I = 26
2θ = 35.6°, d 2.523, I = 21
2θ = 42.9°, d 2.109, I = 21
2θ = 53.0°, d 1.727, I = 20

Crystal structure
Lattice parameters (Å, degrees): 7.1366 7.1366 5.9206 90.00 90.00 90.00
Atoms (fractional coordinates):
Sr1 0.0000 0.0000 0.0000
Sr2 0.5000 0.5000 0.0000
Ac1 0.1740 0.3260 0.5000
Ac2 0.3260 0.8260 0.5000
Ac3 0.6740 0.1740 0.5000
Ac4 0.8260 0.6740 0.5000
Rh1 0.0000 0.5000 0.0000
Rh2 0.5000 0.0000 0.0000
O1 0.0000 0.0000 0.5000
O2 0.1416 0.6416 0.2388
O3 0.1416 0.6416 0.7612
O4 0.3584 0.1416 0.2388
O5 0.3584 0.1416 0.7612
O6 0.5000 0.5000 0.5000
O7 0.6416 0.8584 0.2388
O8 0.6416 0.8584 0.7612
O9 0.8584 0.3584 0.2388
O10 0.8584 0.3584 0.7612


Repeat the fifth record exactly.
Structure and calculated PXRD pattern of AcRh2O4 (a crystal structure in Alexandria, relaxed with GGA-PBE; Cu Kα).
Intensities are scaled so that the largest is 100.

Largest 10 diffraction maxima, most intense first, 2θ = 10–90°:
2θ = 25.5°, d 3.496, I = 100
2θ = 42.3°, d 2.138, I = 57
2θ = 22.5°, d 3.947, I = 52
2θ = 31.5°, d 2.844, I = 48
2θ = 36.9°, d 2.437, I = 43
2θ = 46.0°, d 1.973, I = 32
2θ = 54.0°, d 1.699, I = 25
2θ = 29.8°, d 2.994, I = 23
2θ = 49.4°, d 1.844, I = 21
2θ = 35.2°, d 2.547, I = 18

Crystal structure
Lattice parameters (Å, degrees): 8.3493 7.5721 5.8831 75.55 61.43 43.03
Atoms (fractional coordinates):
Ac1 0.0000 0.0000 0.0000
Ac2 0.2500 0.2500 0.2500
Rh1 0.1342 0.6158 0.6247
Rh2 0.6158 0.1342 0.6253
Rh3 0.6247 0.6253 0.1342
Rh4 0.6253 0.6247 0.6158
O1 0.2873 0.4905 0.8719
O2 0.3503 0.8719 0.4905
O3 0.4015 0.8704 0.9525
O4 0.4905 0.2873 0.3503
O5 0.7756 0.9525 0.8704
O6 0.8704 0.4015 0.7756
O7 0.8719 0.3503 0.2873
O8 0.9525 0.7756 0.4015